1.
Starting from a DFT-relaxed cell (PBE, the Materials Project), the X-ray powder pattern of HoCd2 was calculated for λ = 1.5418 Å (Cu Kα).
Kinematic intensities with the Lorentz-polarization factor, no thermal factor.

Structural model:
```
data_HoCd2
_cell_length_a 5.4297
_cell_length_b 5.4297
_cell_length_c 3.2443
_cell_angle_alpha 90.00
_cell_angle_beta 90.00
_cell_angle_gamma 120.00
_symmetry_space_group_name_H-M 'P -3 m 1'
_symmetry_Int_Tables_number 164
_symmetry_space_group_name_Hall '-P 3 2"'
loop_
_atom_site_label
_atom_site_type_symbol
_atom_site_fract_x
_atom_site_fract_y
_atom_site_fract_z
_atom_site_occupancy
Ho1 Ho 0.0000 0.0000 0.0000 1
Cd1 Cd 0.3333 0.6667 0.0487 1
```

Most intense lines, 2θ = 10–90°, by angle:
- (0 0 1), 27.5°, d = 3.244 Å, intensity 51
- (1 1 0), 33.0°, d = 2.715 Å, intensity 100
- (0 1 1), 33.6°, d = 2.670 Å, intensity 8
- (1 1 1), 43.5°, d = 2.082 Å, intensity 88
- (3 0 0), 58.9°, d = 1.567 Å, intensity 18
- (3 0 1), 66.2°, d = 1.411 Å, intensity 24
- (1 1 2), 67.2°, d = 1.393 Å, intensity 20
- (2 2 0), 69.2°, d = 1.357 Å, intensity 11
- (2 2 1), 76.0°, d = 1.252 Å, intensity 16
- (3 0 2), 86.3°, d = 1.127 Å, intensity 10

=====

2.
Starting from a DFT-relaxed cell (PBE, the Materials Project), the X-ray powder pattern of GdHoTl2 was calculated for λ = 1.5418 Å (Cu Kα).
Kinematic intensities with the Lorentz-polarization factor, no thermal factor.

Structural model:
```
data_GdHoTl2
_cell_length_a 7.617
_cell_length_b 7.617
_cell_length_c 7.617
_cell_angle_alpha 90.00
_cell_angle_beta 90.00
_cell_angle_gamma 90.00
_symmetry_space_group_name_H-M 'F m -3 m'
_symmetry_Int_Tables_number 225
_symmetry_space_group_name_Hall '-F 4 2 3'
loop_
_atom_site_label
_atom_site_type_symbol
_atom_site_fract_x
_atom_site_fract_y
_atom_site_fract_z
_atom_site_occupancy
Gd1 Gd 0.000 0.000 0.000 1
Ho1 Ho 0.000 0.000 0.500 1
Tl1 Tl 0.250 0.250 0.250 1
```

Most intense lines, 2θ = 10–90°, by angle:
- (2 0 0), 23.4°, d = 3.808 Å, intensity 1
- (2 2 0), 33.3°, d = 2.693 Å, intensity 100
- (4 0 0), 47.8°, d = 1.904 Å, intensity 18
- (4 2 0), 53.8°, d = 1.703 Å, intensity 1
- (4 2 2), 59.5°, d = 1.555 Å, intensity 39
- (4 4 0), 69.9°, d = 1.346 Å, intensity 12
- (6 2 0), 79.6°, d = 1.204 Å, intensity 17
- (4 4 4), 89.1°, d = 1.099 Å, intensity 4

=====

3.
Starting from a DFT-relaxed cell (PBE, the Materials Project), the X-ray powder pattern of Ba2As2Se5 was calculated for λ = 1.5418 Å (Cu Kα).
Kinematic intensities with the Lorentz-polarization factor, no thermal factor.

Structural model:
```
data_Ba2As2Se5
_cell_length_a 9.595
_cell_length_b 12.628
_cell_length_c 10.272
_cell_angle_alpha 90.00
_cell_angle_beta 117.19
_cell_angle_gamma 90.00
_symmetry_space_group_name_H-M 'P 1 21 1'
_symmetry_Int_Tables_number 4
loop_
_symmetry_equiv_pos_as_xyz
'x,y,z'
'-x,y+1/2,-z'
loop_
_atom_site_label
_atom_site_type_symbol
_atom_site_fract_x
_atom_site_fract_y
_atom_site_fract_z
_atom_site_occupancy
Ba1 Ba 0.076 0.000 0.141 1
Ba2 Ba 0.176 0.342 0.346 1
Ba3 Ba 0.330 0.839 0.644 1
Ba4 Ba 0.416 0.493 0.840 1
As1 As 0.036 0.575 0.513 1
As2 As 0.219 0.263 0.008 1
As3 As 0.234 0.150 0.752 1
As4 As 0.397 0.692 0.263 1
Se1 Se 0.041 0.753 0.013 1
Se2 Se 0.049 0.393 0.605 1
Se3 Se 0.115 0.669 0.739 1
Se4 Se 0.216 0.982 0.860 1
Se5 Se 0.265 0.589 0.477 1
Se6 Se 0.298 0.442 0.101 1
Se7 Se 0.338 0.108 0.572 1
Se8 Se 0.372 0.169 0.237 1
Se9 Se 0.436 0.867 0.368 1
Se10 Se 0.494 0.720 0.075 1
```

Most intense lines, 2θ = 10–90°, by angle:
- (0 3 1), 23.3°, d = 3.822 Å, intensity 17
- (2 1 1), 27.7°, d = 3.218 Å, intensity 70
- (2 1 -3), 28.0°, d = 3.183 Å, intensity 63
- (2 3 0), 29.8°, d = 2.997 Å, intensity 38
- (0 4 1), 29.9°, d = 2.984 Å, intensity 100
- (2 2 1), 30.4°, d = 2.944 Å, intensity 19
- (0 2 3), 32.6°, d = 2.744 Å, intensity 50
- (2 4 -1), 34.0°, d = 2.637 Å, intensity 17
- (4 0 -2), 37.5°, d = 2.399 Å, intensity 36
- (0 2 4), 42.1°, d = 2.148 Å, intensity 25

=====

4.
Starting from a DFT-relaxed cell (PBE, the Materials Project), the X-ray powder pattern of CaCl2 was calculated for λ = 1.5418 Å (Cu Kα).
Kinematic intensities with the Lorentz-polarization factor, no thermal factor.

Structural model:
```
data_CaCl2
_cell_length_a 7.625
_cell_length_b 5.141
_cell_length_c 11.578
_cell_angle_alpha 90.00
_cell_angle_beta 90.00
_cell_angle_gamma 90.00
_symmetry_space_group_name_H-M 'P n m a'
_symmetry_Int_Tables_number 62
loop_
_symmetry_equiv_pos_as_xyz
'x,y,z'
'-x,-y,-z'
'-x+1/2,-y,z+1/2'
'x+1/2,y,-z+1/2'
'x+1/2,-y+1/2,-z+1/2'
'-x+1/2,y+1/2,z+1/2'
'-x,y+1/2,-z'
'x,-y+1/2,z'
loop_
_atom_site_label
_atom_site_type_symbol
_atom_site_fract_x
_atom_site_fract_y
_atom_site_fract_z
_atom_site_occupancy
Ca1 Ca 0.140 0.250 0.119 1
Cl1 Cl 0.027 0.750 0.685 1
Cl2 Cl 0.141 0.750 0.037 1
```

Most intense lines, 2θ = 10–90°, by angle:
- (1 0 1), 13.9°, d = 6.368 Å, intensity 56
- (0 1 1), 18.9°, d = 4.699 Å, intensity 100
- (1 0 2), 19.3°, d = 4.611 Å, intensity 81
- (1 0 3), 25.9°, d = 3.442 Å, intensity 22
- (1 1 3), 31.3°, d = 2.861 Å, intensity 41
- (2 0 3), 33.0°, d = 2.711 Å, intensity 37
- (0 2 0), 34.9°, d = 2.571 Å, intensity 43
- (3 0 1), 36.2°, d = 2.482 Å, intensity 29
- (1 2 2), 40.2°, d = 2.245 Å, intensity 21
- (2 1 4), 43.0°, d = 2.104 Å, intensity 26

=====

5.
Starting from a DFT-relaxed cell (PBE, the Materials Project), the X-ray powder pattern of MgSn2O4 was calculated for λ = 1.5418 Å (Cu Kα).
Kinematic intensities with the Lorentz-polarization factor, no thermal factor.

Structural model:
```
data_MgSn2O4
_cell_length_a 6.6350
_cell_length_b 6.6350
_cell_length_c 15.8526
_cell_angle_alpha 90.00
_cell_angle_beta 90.00
_cell_angle_gamma 120.00
_symmetry_space_group_name_H-M 'R 3 m'
_symmetry_Int_Tables_number 160
_symmetry_space_group_name_Hall 'R 3 -2"'
loop_
_atom_site_label
_atom_site_type_symbol
_atom_site_fract_x
_atom_site_fract_y
_atom_site_fract_z
_atom_site_occupancy
Mg1 Mg 0.0000 0.0000 0.0000 1
Mg2 Mg 0.0000 0.0000 0.3789 1
Sn1 Sn 0.0000 0.0000 0.7581 1
Sn2 Sn 0.0031 0.5016 0.8784 1
O1 O 0.0000 0.0000 0.1329 1
O2 O 0.0000 0.0000 0.6108 1
O3 O 0.0544 0.5272 0.1355 1
O4 O 0.1784 0.3568 0.9591 1
```

Most intense lines, 2θ = 10–90°, by angle:
- (0 0 3), 16.8°, d = 5.284 Å, intensity 56
- (1 0 4), 27.3°, d = 3.262 Å, intensity 45
- (0 2 1), 31.7°, d = 2.827 Å, intensity 100
- (1 1 3), 31.9°, d = 2.810 Å, intensity 62
- (0 1 5), 32.2°, d = 2.776 Å, intensity 33
- (2 0 2), 33.2°, d = 2.701 Å, intensity 37
- (0 2 4), 38.7°, d = 2.326 Å, intensity 39
- (0 2 7), 51.4°, d = 1.779 Å, intensity 28
- (2 2 0), 55.4°, d = 1.659 Å, intensity 42
- (2 0 8), 56.4°, d = 1.631 Å, intensity 40

=====

What did the fourth record say?
Starting from a DFT-relaxed cell (PBE, the Materials Project), the X-ray powder pattern of CaCl2 was calculated for λ = 1.5418 Å (Cu Kα).
Kinematic intensities with the Lorentz-polarization factor, no thermal factor.

Structural model:
```
data_CaCl2
_cell_length_a 7.625
_cell_length_b 5.141
_cell_length_c 11.578
_cell_angle_alpha 90.00
_cell_angle_beta 90.00
_cell_angle_gamma 90.00
_symmetry_space_group_name_H-M 'P n m a'
_symmetry_Int_Tables_number 62
loop_
_symmetry_equiv_pos_as_xyz
'x,y,z'
'-x,-y,-z'
'-x+1/2,-y,z+1/2'
'x+1/2,y,-z+1/2'
'x+1/2,-y+1/2,-z+1/2'
'-x+1/2,y+1/2,z+1/2'
'-x,y+1/2,-z'
'x,-y+1/2,z'
loop_
_atom_site_label
_atom_site_type_symbol
_atom_site_fract_x
_atom_site_fract_y
_atom_site_fract_z
_atom_site_occupancy
Ca1 Ca 0.140 0.250 0.119 1
Cl1 Cl 0.027 0.750 0.685 1
Cl2 Cl 0.141 0.750 0.037 1
```

Most intense lines, 2θ = 10–90°, by angle:
- (1 0 1), 13.9°, d = 6.368 Å, intensity 56
- (0 1 1), 18.9°, d = 4.699 Å, intensity 100
- (1 0 2), 19.3°, d = 4.611 Å, intensity 81
- (1 0 3), 25.9°, d = 3.442 Å, intensity 22
- (1 1 3), 31.3°, d = 2.861 Å, intensity 41
- (2 0 3), 33.0°, d = 2.711 Å, intensity 37
- (0 2 0), 34.9°, d = 2.571 Å, intensity 43
- (3 0 1), 36.2°, d = 2.482 Å, intensity 29
- (1 2 2), 40.2°, d = 2.245 Å, intensity 21
- (2 1 4), 43.0°, d = 2.104 Å, intensity 26